BaTb2Mo4O16: computed X-ray powder pattern (Cu Kα (λ = 1.5418 Å)), based on a GGA+U-relaxed structure.

Main lines, in order of rising 2θ (10 to 90 degrees two-theta):
2theta, I/Imax
25.06, 81.7
25.89, 84.7
27.19, 59.2
27.39, 62.5
28.20, 71.7
28.38, 100.0
28.58, 68.9
29.31, 73.1
30.33, 80.8
33.79, 61.3

Atomic structure:
Lattice parameters (Å, degrees): 6.8921 6.8921 19.9861 90.77 90.77 134.70
Element x y z (fractional)
1 Ba 0.0307 0.9693 0.7500
2 Ba 0.9693 0.0307 0.2500
3 Tb 0.1458 0.8492 0.5312
4 Tb 0.1508 0.8542 0.9688
5 Tb 0.8492 0.1458 0.0312
6 Tb 0.8542 0.1508 0.4688
7 Mo 0.2579 0.7405 0.1455
8 Mo 0.2595 0.7421 0.3545
9 Mo 0.4284 0.5478 0.9105
10 Mo 0.4522 0.5716 0.5895
11 Mo 0.5478 0.4284 0.4105
12 Mo 0.5716 0.4522 0.0895
13 Mo 0.7405 0.2579 0.6455
14 Mo 0.7421 0.2595 0.8545
15 O 0.0127 0.7396 0.1716
16 O 0.0655 0.5870 0.4338
17 O 0.0826 0.3859 0.1308
18 O 0.1040 0.4881 0.2914
19 O 0.1685 0.5094 0.9568
20 O 0.2218 0.2574 0.5356
21 O 0.2238 0.3204 0.4004
22 O 0.2574 0.2218 0.0356
23 O 0.2604 0.9873 0.3284
24 O 0.3005 0.4667 0.6674
25 O 0.3204 0.2238 0.9004
26 O 0.3859 0.0826 0.6308
27 O 0.4130 0.9345 0.0662
28 O 0.4667 0.3005 0.1674
29 O 0.4881 0.1040 0.7914
30 O 0.4906 0.8315 0.5432
31 O 0.5094 0.1685 0.4568
32 O 0.5119 0.8960 0.2086
33 O 0.5333 0.6995 0.8326
34 O 0.5870 0.0655 0.9338
35 O 0.6141 0.9174 0.3692
36 O 0.6796 0.7762 0.0996
37 O 0.6995 0.5333 0.3326
38 O 0.7396 0.0127 0.6716
39 O 0.7426 0.7782 0.9644
40 O 0.7762 0.6796 0.5996
41 O 0.7782 0.7426 0.4644
42 O 0.8315 0.4906 0.0432
43 O 0.8960 0.5119 0.7086
44 O 0.9174 0.6141 0.8692
45 O 0.9345 0.4130 0.5662
46 O 0.9873 0.2604 0.8284